Diffraction record for K2ZrSb2. The PXRD pattern is simulated, not measured: it uses a structure optimized by DFT (GGA-PBE) and copper Kα.
Peak positions follow from Bragg's law for the DFT cell and can differ from measured ones.

Crystal structure
abc: 7.6888 7.6888 5.8218
angles: 90.00 90.00 90.00
Space group P4/mbm (No. 127)
One atom of each set of equivalent atoms:
1 K 0.1651 0.3349 0.0000
2 Zr 0.0000 0.0000 0.5000
3 Sb 0.1432 0.6432 0.5000

Main lines, sorted by position (2θ from 5° to 70°):
2theta, d/Å, I (rel.), index
15.2, 5.822, 673, 0 0 1
25.9, 3.439, 178, 2 1 0
30.2, 2.961, 1000, 2 1 1
30.7, 2.911, 342, 0 0 2
37.0, 2.431, 346, 3 1 0
40.2, 2.244, 267, 3 1 1
40.6, 2.222, 113, 2 1 2
48.8, 1.866, 306, 3 1 2
54.3, 1.690, 179, 2 1 3
67.6, 1.387, 130, 5 2 1